(1)
Simulated XRD peak list
Compound: MgCu4H8C2O10
Radiation: Cu Kα, 1.54184 Å
Structure: a structure optimized by DFT (GGA-PBE)
Neutral-atom scattering factors, no anomalous dispersion.

Atomic structure:
Unit cell a=6.1981 b=6.3149 c=7.4342 alpha=112.08 beta=96.95 gamma=90.50
Space group P1 (No. 1)
Unique sites:
Mg: 0.0000 0.0000 0.0000
Cu: 0.0242 0.5749 0.0411
Cu: 0.3283 0.3557 0.1548
Cu: 0.5506 0.8589 0.1640
Cu: 0.8004 0.3999 0.2043
H: 0.1032 0.2149 0.7702
H: 0.1030 0.2440 0.3809
H: 0.2978 0.7031 0.8448
H: 0.3963 0.9984 0.6992
H: 0.5592 0.4585 0.9315
H: 0.5626 0.2681 0.4134
H: 0.7727 0.6055 0.5307
H: 0.9640 0.9228 0.3169
C: 0.3151 0.9707 0.5494
C: 0.6973 0.6363 0.6675
O: 0.0749 0.2875 0.2656
O: 0.0780 0.2587 0.9109
O: 0.1474 0.0870 0.5409
O: 0.2442 0.7883 0.9687
O: 0.3935 0.8289 0.4069
O: 0.5582 0.5044 0.0744
O: 0.5638 0.2047 0.2688
O: 0.5727 0.4784 0.6693
O: 0.7469 0.8298 0.8058
O: 0.8868 0.8488 0.1816

Top 10 peaks for 5 to 70 degrees two-theta, low angle first:
2θ (°)	d (Å)	intensity
12.97	6.827	100
23.51	3.785	8
26.11	3.413	11
28.16	3.169	9
34.02	2.635	10
36.39	2.469	9
39.89	2.260	7
40.55	2.224	6
41.38	2.182	6
48.09	1.892	8


(2)
Simulated XRD peak list
Compound: PmAl4Sn
Radiation: Cu Kα, 1.54184 Å
Structure: a structure optimized by DFT (GGA-PBE)
Neutral-atom scattering factors, no anomalous dispersion.

Atomic structure:
Unit cell a=7.9436 b=7.9436 c=7.9436 alpha=90.00 beta=90.00 gamma=90.00
Space group F-43m (No. 216)
Unique sites:
Pm: 0.0000 0.0000 0.0000
Al: 0.1248 0.1248 0.3752
Sn: 0.2500 0.2500 0.7500

Top 10 peaks for 5 to 70 degrees two-theta, low angle first:
2θ (°)	d (Å)	intensity
19.35	4.586	53
22.38	3.972	1
31.86	2.808	94
37.55	2.395	100
39.29	2.293	6
45.68	1.986	6
50.05	1.822	14
56.78	1.621	37
60.57	1.529	33
66.60	1.404	22


(3)
Simulated XRD peak list
Compound: NaInSi2Se6
Radiation: Cu Kα, 1.54184 Å
Structure: a structure optimized by DFT (GGA-PBE)
Neutral-atom scattering factors, no anomalous dispersion.

Atomic structure:
Unit cell a=13.3523 b=13.0685 c=6.9781 alpha=90.00 beta=111.08 gamma=90.00
Space group C2/c (No. 15)
Unique sites:
Na: 0.0000 0.1253 0.2500
In: 0.0000 0.2261 0.7500
Si: 0.2027 0.4264 0.2111
Se: 0.1144 0.0692 0.6694
Se: 0.1304 0.4448 0.4727
Se: 0.1408 0.2630 0.1142

Top 10 peaks for 5 to 70 degrees two-theta, low angle first:
2θ (°)	d (Å)	intensity
14.56	6.084	28
19.24	4.612	59
21.92	4.055	34
24.19	3.680	39
26.98	3.304	36
28.93	3.086	28
29.31	3.048	100
31.55	2.836	29
31.83	2.812	31
48.30	1.884	41


(4)
Simulated XRD peak list
Compound: PmHoSn4
Radiation: Cu Kα, 1.54184 Å
Structure: a structure optimized by DFT (GGA-PBE)
Neutral-atom scattering factors, no anomalous dispersion.

Atomic structure:
Unit cell a=6.1693 b=9.7278 c=6.2451 alpha=90.00 beta=90.00 gamma=90.00
Space group Cmmm (No. 65)
Unique sites:
Pm: 0.0000 0.0000 0.0000
Ho: 0.0000 0.5000 0.5000
Sn: 0.2500 0.2500 0.2530

Top 10 peaks for 5 to 70 degrees two-theta, low angle first:
2θ (°)	d (Å)	intensity
22.22	4.001	71
34.12	2.628	79
34.42	2.606	100
36.96	2.432	32
41.13	2.194	47
47.01	1.933	10
47.46	1.916	11
56.48	1.629	38
64.79	1.439	13
64.98	1.435	13


(5)
Simulated XRD peak list
Compound: La4Nd3Sm4
Radiation: Cu Kα, 1.54184 Å
Structure: a structure optimized by DFT (GGA-PBE)
Neutral-atom scattering factors, no anomalous dispersion.

Atomic structure:
Unit cell a=3.6584 b=9.6732 c=22.6215 alpha=90.00 beta=90.00 gamma=90.00
Space group Immm (No. 71)
Unique sites:
La: 0.0000 0.1702 0.1459
Nd: 0.0000 0.0000 0.3939
Nd: 0.0000 0.5000 0.5000
Sm: 0.0000 0.3142 0.0000
Sm: 0.0000 0.5000 0.2366

Top 10 peaks for 5 to 70 degrees two-theta, low angle first:
2θ (°)	d (Å)	intensity
30.12	2.967	87
30.53	2.928	100
30.90	2.894	49
31.64	2.828	27
37.15	2.420	17
38.04	2.365	21
41.71	2.166	26
55.63	1.652	27
56.19	1.637	27
59.35	1.557	26


(6)
Simulated XRD peak list
Compound: Ba2TlCd12Au3
Radiation: Cu Kα, 1.54184 Å
Structure: a structure optimized by DFT (GGA-PBE)
Neutral-atom scattering factors, no anomalous dispersion.

Atomic structure:
Unit cell a=10.2468 b=10.2468 c=18.9627 alpha=90.00 beta=90.00 gamma=120.00
Space group R-3m (No. 166, hexagonal axes)
Unique sites:
Ba: 0.0000 0.0000 0.1016
Tl: 0.0000 0.0000 0.5000
Cd: 0.0064 0.5032 0.8562
Cd: 0.0349 0.5175 0.3154
Au: 0.0000 0.5000 0.0000

Top 10 peaks for 5 to 70 degrees two-theta, low angle first:
2θ (°)	d (Å)	intensity
11.01	8.037	26
20.56	4.320	41
22.34	3.980	25
28.23	3.161	40
34.62	2.591	14
35.03	2.562	100
38.95	2.312	19
45.58	1.990	39
56.55	1.627	16
62.83	1.479	15


(7)
Simulated XRD peak list
Compound: NpUAgO6
Radiation: Cu Kα, 1.54184 Å
Structure: a structure optimized by DFT (GGA-PBE)
Neutral-atom scattering factors, no anomalous dispersion.

Atomic structure:
Unit cell a=5.8908 b=5.8908 c=9.6668 alpha=90.00 beta=90.00 gamma=120.00
Space group P-31c (No. 163)
Unique sites:
Np: 0.3333 0.6667 0.2500
U: 0.3333 0.6667 0.7500
Ag: 0.0000 0.0000 0.0000
O: 0.0040 0.3735 0.6437

Top 10 peaks for 5 to 70 degrees two-theta, low angle first:
2θ (°)	d (Å)	intensity
17.38	5.102	16
18.36	4.833	40
25.38	3.509	100
30.35	2.945	73
35.70	2.515	41
39.96	2.256	29
48.74	1.868	54
50.99	1.791	30
53.92	1.701	22
67.33	1.391	15


(8)
Simulated XRD peak list
Compound: SrGdAlZn
Radiation: Cu Kα, 1.54184 Å
Structure: a structure optimized by DFT (GGA-PBE)
Neutral-atom scattering factors, no anomalous dispersion.

Atomic structure:
Unit cell a=7.5439 b=7.5439 c=7.5439 alpha=90.00 beta=90.00 gamma=90.00
Space group F-43m (No. 216)
Unique sites:
Sr: 0.0000 0.0000 0.0000
Gd: 0.0000 0.0000 0.5000
Al: 0.2500 0.2500 0.7500
Zn: 0.2500 0.2500 0.2500

Top 10 peaks for 5 to 70 degrees two-theta, low angle first:
2θ (°)	d (Å)	intensity
20.39	4.355	12
23.59	3.772	22
33.60	2.667	100
39.62	2.275	7
41.46	2.178	7
48.25	1.886	18
52.90	1.731	3
54.39	1.687	9
60.08	1.540	37
64.15	1.452	2


(9)
Simulated XRD peak list
Compound: Sc4Te3Se
Radiation: Cu Kα, 1.54184 Å
Structure: a structure optimized by DFT (GGA-PBE)
Neutral-atom scattering factors, no anomalous dispersion.

Atomic structure:
Unit cell a=8.2243 b=11.6144 c=4.0788 alpha=90.00 beta=90.00 gamma=90.00
Space group Cmmm (No. 65)
Unique sites:
Sc: 0.0000 0.2299 0.0000
Sc: 0.2186 0.0000 0.5000
Te: 0.0000 0.5000 0.0000
Te: 0.2500 0.2500 0.5000
Se: 0.0000 0.0000 0.0000

Top 10 peaks for 5 to 70 degrees two-theta, low angle first:
2θ (°)	d (Å)	intensity
26.56	3.356	20
26.71	3.338	18
30.85	2.898	100
44.04	2.056	11
44.17	2.050	47
44.42	2.039	12
52.26	1.750	15
54.70	1.678	11
55.02	1.669	12
64.34	1.448	7


(10)
Simulated XRD peak list
Compound: Nd4Dy2HoTh
Radiation: Cu Kα, 1.54184 Å
Structure: a structure optimized by DFT (GGA-PBE)
Neutral-atom scattering factors, no anomalous dispersion.

Atomic structure:
Unit cell a=5.1086 b=5.1086 c=10.2356 alpha=90.00 beta=90.00 gamma=90.00
Space group P4/mmm (No. 123)
Unique sites:
Nd: 0.0000 0.5000 0.2487
Dy: 0.0000 0.0000 0.0000
Dy: 0.5000 0.5000 0.5000
Ho: 0.0000 0.0000 0.5000
Th: 0.5000 0.5000 0.0000

Top 10 peaks for 5 to 70 degrees two-theta, low angle first:
2θ (°)	d (Å)	intensity
8.64	10.236	1
17.34	5.115	1
19.42	4.571	1
24.64	3.613	1
30.28	2.951	100
35.11	2.556	51
39.42	2.286	1
50.50	1.807	36
60.03	1.541	43
62.99	1.476	13


(11)
Simulated XRD peak list
Compound: IrPdAu
Radiation: Cu Kα, 1.54184 Å
Structure: a structure optimized by DFT (GGA-PBE)
Neutral-atom scattering factors, no anomalous dispersion.

Atomic structure:
Unit cell a=4.8396 b=2.8095 c=7.2180 alpha=90.00 beta=102.92 gamma=90.00
Space group Cm (No. 8)
Unique sites:
Ir: 0.0000 0.0000 0.0000
Pd: 0.2701 0.5000 0.3139
Au: 0.2211 0.0000 0.6584

Top 10 peaks for 5 to 70 degrees two-theta, low angle first:
2θ (°)	d (Å)	intensity
12.58	7.035	24
37.25	2.414	44
37.41	2.404	23
38.38	2.345	76
40.89	2.207	100
41.03	2.200	48
42.95	2.106	82
43.09	2.099	40
66.88	1.399	31
69.65	1.350	21


(12)
Simulated XRD peak list
Compound: K5Pt
Radiation: Cu Kα, 1.54184 Å
Structure: a structure optimized by DFT (GGA-PBE)
Neutral-atom scattering factors, no anomalous dispersion.

Atomic structure:
Unit cell a=4.4520 b=4.4520 c=14.5414 alpha=90.00 beta=90.00 gamma=90.00
Space group P4/mmm (No. 123)
Unique sites:
K: 0.0000 0.0000 0.0000
K: 0.0000 0.0000 0.3986
K: 0.5000 0.5000 0.2323
Pt: 0.5000 0.5000 0.5000

Top 10 peaks for 5 to 70 degrees two-theta, low angle first:
2θ (°)	d (Å)	intensity
6.08	14.541	100
12.17	7.271	17
20.87	4.257	16
27.20	3.279	29
28.35	3.148	25
29.02	3.077	12
31.78	2.816	20
36.92	2.435	11
49.49	1.842	11
52.40	1.746	9